Starting from a PBE-relaxed structure, the PXRD pattern of K2Tl6PbAu was computed for λ = 1.5418 Å (Cu Kα).
Kinematic intensities with the Lorentz-polarization factor, no thermal factor.

Top 8 peaks for 10° ≤ 2θ ≤ 90°, by intensity:
2theta, d_spacing, I_rel
29.9, 2.988, 100
13.4, 6.609, 58
44.9, 2.021, 43
16.8, 5.275, 40
40.7, 2.218, 40
34.0, 2.640, 36
27.8, 3.208, 31
34.2, 2.623, 31

Lattice parameters (Å, degrees): 14.1676 14.1676 14.1676 33.15 33.15 33.15
Fractional coordinates of all 20 atoms:
K: 0.1269 0.1269 0.1269
K: 0.2967 0.2967 0.2967
K: 0.7033 0.7033 0.7033
K: 0.8731 0.8731 0.8731
Tl: 0.0798 0.6580 0.6580
Tl: 0.1955 0.1955 0.7617
Tl: 0.1955 0.7617 0.1955
Tl: 0.2383 0.8045 0.8045
Tl: 0.3420 0.3420 0.9202
Tl: 0.3420 0.9202 0.3420
Tl: 0.6580 0.0798 0.6580
Tl: 0.6580 0.6580 0.0798
Tl: 0.7617 0.1955 0.1955
Tl: 0.8045 0.2383 0.8045
Tl: 0.8045 0.8045 0.2383
Tl: 0.9202 0.3420 0.3420
Pb: 0.4221 0.4221 0.4221
Pb: 0.5779 0.5779 0.5779
Au: 0.0000 0.0000 0.0000
Au: 0.5000 0.5000 0.5000